(1)
# Tb3Te2Se
Computed powder X-ray diffraction pattern, Cu Kα (λ = 1.5418 Å). Input: a DFT-relaxed cell (GGA-PBE, Alexandria).
Intensities are scaled so that the largest is 100.

Largest 6 diffraction maxima, in order of falling intensity, 2θ = 5–70°:
- d 3.029, rel. 100
- d 2.133, rel. 38
- d 2.150, rel. 34
- d 1.744, rel. 20
- d 1.350, rel. 17
- d 1.359, rel. 12

Crystal structure
```
Tb3Te2Se
1.0
4.267 0.000 0.000
-2.133 3.695 0.000
0.000 0.000 10.574
Tb Te Se
3 2 1
direct
0.000 0.000 0.000
0.333 0.667 0.642
0.667 0.333 0.358
0.333 0.667 0.176
0.667 0.333 0.824
0.000 0.000 0.500
```



(2)
# Tb4Te3Se
Computed powder X-ray diffraction pattern, Cu Kα (λ = 1.5418 Å). Input: a DFT-relaxed cell (GGA-PBE, Alexandria).
Intensities are scaled so that the largest is 100.

Largest 6 diffraction maxima, in order of falling intensity, 2θ = 5–70°:
- d 3.050, rel. 100
- d 2.157, rel. 48
- d 1.754, rel. 13
- d 2.142, rel. 13
- d 1.768, rel. 12
- d 2.168, rel. 12

Crystal structure
```
Tb4Te3Se
1.0
4.335 -6.110 0.000
4.335 6.110 0.000
0.000 0.000 4.283
Tb Te Se
4 3 1
direct
0.222 0.222 0.500
0.233 0.767 0.000
0.767 0.233 0.000
0.778 0.778 0.500
0.000 0.500 0.500
0.500 0.000 0.500
0.500 0.500 0.000
0.000 0.000 0.000
```



(3)
# Tb2Te2Se
Computed powder X-ray diffraction pattern, Cu Kα (λ = 1.5418 Å). Input: a DFT-relaxed cell (GGA-PBE, Alexandria).
Intensities are scaled so that the largest is 100.

Largest 6 diffraction maxima, in order of falling intensity, 2θ = 5–70°:
- d 3.009, rel. 100
- d 2.165, rel. 79
- d 3.118, rel. 79
- d 3.559, rel. 26
- d 5.088, rel. 24
- d 7.119, rel. 24

Crystal structure
```
Tb2Te2Se
1.0
8.626 0.000 0.000
0.000 6.235 0.000
0.000 0.000 12.603
Tb Te Se
8 8 4
direct
0.083 0.250 0.239
0.155 0.250 0.577
0.345 0.750 0.077
0.417 0.750 0.739
0.583 0.250 0.261
0.655 0.250 0.923
0.845 0.750 0.423
0.917 0.750 0.761
0.072 0.750 0.226
0.148 0.750 0.569
0.352 0.250 0.069
0.428 0.250 0.726
0.572 0.750 0.274
0.648 0.750 0.931
0.852 0.250 0.431
0.928 0.250 0.774
0.182 0.750 0.893
0.318 0.250 0.393
0.682 0.750 0.607
0.818 0.250 0.107
```



(4)
# TbThTe2Se
Computed powder X-ray diffraction pattern, Cu Kα (λ = 1.5418 Å). Input: a DFT-relaxed cell (GGA-PBE, Alexandria).
Intensities are scaled so that the largest is 100.

Largest 6 diffraction maxima, in order of falling intensity, 2θ = 5–70°:
- d 3.148, rel. 100
- d 2.410, rel. 67
- d 2.226, rel. 64
- d 2.485, rel. 42
- d 1.558, rel. 32
- d 3.827, rel. 31

Crystal structure
```
TbThTe2Se
1.0
4.453 0.000 0.000
0.000 4.453 0.000
0.000 0.000 14.976
Tb Th Te Se
2 2 4 2
direct
0.250 0.250 0.085
0.750 0.750 0.915
0.250 0.250 0.628
0.750 0.750 0.372
0.250 0.250 0.294
0.250 0.250 0.878
0.750 0.750 0.122
0.750 0.750 0.706
0.250 0.750 0.500
0.750 0.250 0.500
```